# 1
Theoretical powder diffraction line list
Compound: Ta2MnMo
Radiation: copper Kα
Structure: a PBE-relaxed structure
Lines closer than 0.1° are merged.

Top 8 peaks for 5 to 70 degrees two-theta, by intensity:
hkl 1 1 2, 40.5 deg, I = 100
hkl 0 1 0, 28.3 deg, I = 24
hkl 2 0 0, 40.3 deg, I = 20
hkl 2 0 4, 58.5 deg, I = 13
hkl 0 2 0, 58.6 deg, I = 7
hkl 1 2 2, 66.3 deg, I = 6
hkl 2 1 0, 50.0 deg, I = 4
hkl 0 1 4, 50.2 deg, I = 3

Atomic structure:
```
data_Ta2MnMo
_cell_length_a 4.4740
_cell_length_b 3.1515
_cell_length_c 8.9092
_cell_angle_alpha 90.00
_cell_angle_beta 90.00
_cell_angle_gamma 90.00
_symmetry_space_group_name_H-M 'P m m a'
_symmetry_Int_Tables_number 51
loop_
_symmetry_equiv_pos_as_xyz
'x,y,z'
'-x,-y,-z'
'-x+1/2,-y,z'
'x+1/2,y,-z'
'x+1/2,-y,-z'
'-x+1/2,y,z'
'-x,y,-z'
'x,-y,z'
loop_
_atom_site_label
_atom_site_type_symbol
_atom_site_fract_x
_atom_site_fract_y
_atom_site_fract_z
Ta1 Ta 0.2500 0.0000 0.1158
Ta2 Ta 0.2500 0.0000 0.6329
Mn1 Mn 0.2500 0.5000 0.8806
Mo1 Mo 0.2500 0.5000 0.3701
```

=====

# 2
Theoretical powder diffraction line list
Compound: TaMnMo2
Radiation: copper Kα
Structure: a PBE-relaxed structure
Lines closer than 0.1° are merged.

Top 8 peaks for 5 to 70 degrees two-theta, by intensity:
hkl 1 1 2, 39.6 deg, I = 100
hkl 2 0 0, 49.1 deg, I = 21
hkl 1 0 1, 25.9 deg, I = 19
hkl 2 0 4, 64.9 deg, I = 18
hkl 1 0 3, 38.3 deg, I = 7
hkl 2 1 1, 56.4 deg, I = 5
hkl 2 1 3, 64.0 deg, I = 3
hkl 1 0 5, 56.3 deg, I = 3

Atomic structure:
```
data_TaMnMo2
_cell_length_a 3.7085
_cell_length_b 3.7085
_cell_length_c 9.1069
_cell_angle_alpha 90.00
_cell_angle_beta 90.00
_cell_angle_gamma 90.00
_symmetry_space_group_name_H-M 'I 4/m m m'
_symmetry_Int_Tables_number 139
_symmetry_space_group_name_Hall '-I 4 2'
loop_
_atom_site_label
_atom_site_type_symbol
_atom_site_fract_x
_atom_site_fract_y
_atom_site_fract_z
Ta1 Ta 0.0000 0.0000 0.0000
Mn1 Mn 0.0000 0.0000 0.5000
Mo1 Mo 0.0000 0.5000 0.2500
```

=====

# 3
Theoretical powder diffraction line list
Compound: MnTc2Mo
Radiation: copper Kα
Structure: a PBE-relaxed structure
Lines closer than 0.1° are merged.

Top 8 peaks for 5 to 70 degrees two-theta, by intensity:
hkl 1 2 2, 41.0 deg, I = 100
hkl 2 0 0, 43.6 deg, I = 24
hkl 0 4 0, 44.2 deg, I = 18
hkl 0 1 3, 41.9 deg, I = 12
hkl 2 4 0, 63.8 deg, I = 12
hkl 0 0 4, 54.8 deg, I = 9
hkl 0 3 1, 35.5 deg, I = 5
hkl 1 1 1, 27.5 deg, I = 5

Atomic structure:
```
data_MnTc2Mo
_cell_length_a 4.1548
_cell_length_b 8.1915
_cell_length_c 6.7038
_cell_angle_alpha 90.00
_cell_angle_beta 90.00
_cell_angle_gamma 90.00
_symmetry_space_group_name_H-M 'A m a 2'
_symmetry_Int_Tables_number 40
loop_
_symmetry_equiv_pos_as_xyz
'x,y,z'
'-x,-y,z'
'-x+1/2,y,z'
'x+1/2,-y,z'
'x,y+1/2,z+1/2'
'-x,-y+1/2,z+1/2'
'-x+1/2,y+1/2,z+1/2'
'x+1/2,-y+1/2,z+1/2'
loop_
_atom_site_label
_atom_site_type_symbol
_atom_site_fract_x
_atom_site_fract_y
_atom_site_fract_z
Mn1 Mn 0.2500 0.1234 0.0000
Tc1 Tc 0.2500 0.1222 0.5569
Tc2 Tc 0.2500 0.4043 0.7614
Mo1 Mo 0.2500 0.3536 0.2902
```

=====

# 4
Theoretical powder diffraction line list
Compound: MnTcMo
Radiation: copper Kα
Structure: a PBE-relaxed structure
Lines closer than 0.1° are merged.

Top 8 peaks for 5 to 70 degrees two-theta, by intensity:
hkl 1 0 3, 41.8 deg, I = 100
hkl 1 1 0, 41.0 deg, I = 53
hkl 2 0 0, 59.4 deg, I = 19
hkl 0 0 6, 62.0 deg, I = 7
hkl 0 0 2, 19.8 deg, I = 6
hkl 1 0 1, 30.4 deg, I = 6
hkl 1 1 2, 45.9 deg, I = 3
hkl 2 1 1, 68.2 deg, I = 1

Atomic structure:
```
data_MnTcMo
_cell_length_a 3.1133
_cell_length_b 3.1133
_cell_length_c 8.9874
_cell_angle_alpha 90.00
_cell_angle_beta 90.00
_cell_angle_gamma 90.00
_symmetry_space_group_name_H-M 'I 4 m m'
_symmetry_Int_Tables_number 107
_symmetry_space_group_name_Hall 'I 4 -2'
loop_
_atom_site_label
_atom_site_type_symbol
_atom_site_fract_x
_atom_site_fract_y
_atom_site_fract_z
Mn1 Mn 0.0000 0.0000 0.0000
Tc1 Tc 0.0000 0.0000 0.3299
Mo1 Mo 0.0000 0.0000 0.6683
```

=====

Number 4 is which compound? MnTcMo

=====

Number 1 is which compound? Ta2MnMo